[1]
Calculated powder diffraction line list of Ni7Pd2Pt2 for a wavelength of 1.5418 Å, from a crystal structure in Alexandria, relaxed with GGA-PBE.
Peak positions follow from Bragg's law for the DFT cell and can differ from measured ones.

Structural model:
Cell: 4.395 4.461 7.543 Å, 91.41 93.79 102.48°
Space group P-1 (No. 2)
Inequivalent atoms, fractional coordinates:
1 Ni 0.000 0.000 0.000 x1
2 Ni 0.115 0.778 0.524 x2
3 Ni 0.423 0.311 0.614 x2
4 Ni 0.477 0.745 0.056 x2
5 Pd 0.041 0.484 0.813 x2
6 Pt 0.356 0.139 0.278 x2

Main lines, sorted by position (2θ = 10–80°):
| 2theta | d [Å] | Rel. int. |
| --- | --- | --- |
| 23.16 | 3.841 | 332 |
| 28.75 | 3.105 | 346 |
| 32.38 | 2.765 | 328 |
| 39.01 | 2.309 | 461 |
| 40.34 | 2.236 | 617 |
| 41.94 | 2.154 | 503 |
| 42.30 | 2.137 | 1000 |
| 42.81 | 2.112 | 829 |
| 44.88 | 2.020 | 298 |
| 45.28 | 2.003 | 781 |

[2]
Calculated powder diffraction line list of Y10HoEr4 for a wavelength of 1.5418 Å, from a crystal structure in Alexandria, relaxed with GGA-PBE.
Peak positions follow from Bragg's law for the DFT cell and can differ from measured ones.

Structural model:
Cell: 12.127 12.127 7.668 Å, 90.00 90.00 90.00°
Space group I4/m (No. 87)
Inequivalent atoms, fractional coordinates:
1 Y 0.000 0.500 0.250 x4
2 Y 0.100 0.800 0.250 x16
3 Ho 0.000 0.000 0.000 x2
4 Er 0.100 0.300 0.500 x8

Main lines, sorted by position (2θ = 10–80°):
| 2theta | d [Å] | Rel. int. |
| --- | --- | --- |
| 20.05 | 4.428 | 521 |
| 33.04 | 2.712 | 1000 |
| 38.95 | 2.312 | 289 |
| 47.42 | 1.917 | 180 |
| 51.97 | 1.759 | 127 |
| 59.00 | 1.565 | 371 |
| 62.98 | 1.476 | 95 |
| 69.31 | 1.356 | 114 |
| 72.98 | 1.296 | 92 |
| 78.95 | 1.213 | 157 |

[3]
Calculated powder diffraction line list of YGaH for a wavelength of 1.5418 Å, from a crystal structure in Alexandria, relaxed with GGA-PBE.
Peak positions follow from Bragg's law for the DFT cell and can differ from measured ones.

Structural model:
Cell: 3.262 15.851 3.873 Å, 90.00 90.00 90.00°
Space group Cmcm (No. 63)
Inequivalent atoms, fractional coordinates:
1 Y 0.000 0.090 0.250 x4
2 Ga 0.000 0.232 0.750 x4
3 H 0.000 0.454 0.250 x4

Main lines, sorted by position (2θ = 10–80°):
| 2theta | d [Å] | Rel. int. |
| --- | --- | --- |
| 11.16 | 7.925 | 197 |
| 25.60 | 3.480 | 272 |
| 27.93 | 3.195 | 362 |
| 32.31 | 2.770 | 408 |
| 33.93 | 2.642 | 324 |
| 39.96 | 2.256 | 1000 |
| 46.92 | 1.937 | 166 |
| 48.97 | 1.860 | 141 |
| 59.15 | 1.562 | 125 |
| 64.80 | 1.439 | 133 |

[4]
Calculated powder diffraction line list of LaPr5Y5 for a wavelength of 1.5418 Å, from a crystal structure in Alexandria, relaxed with GGA-PBE.
Peak positions follow from Bragg's law for the DFT cell and can differ from measured ones.

Structural model:
Cell: 6.2110 6.2110 12.0022 Å, 90.00 90.00 120.00°
Space group P-6m2 (No. 187)
Inequivalent atoms, fractional coordinates:
1 La 0.0000 0.0000 0.0000 x1
2 Pr 0.0000 0.0000 0.3195 x2
3 Pr 0.3333 0.6667 0.1552 x2
4 Pr 0.6667 0.3333 0.0000 x1
5 Y 0.5006 0.0011 0.5000 x3
6 Y 0.6667 0.3333 0.2631 x2

Main lines, sorted by position (2θ = 10–80°):
| 2theta | d [Å] | Rel. int. |
| --- | --- | --- |
| 27.79 | 3.210 | 1000 |
| 28.75 | 3.106 | 876 |
| 29.73 | 3.005 | 351 |
| 34.20 | 2.622 | 462 |
| 36.63 | 2.454 | 272 |
| 45.30 | 2.002 | 247 |
| 50.35 | 1.812 | 388 |
| 50.95 | 1.792 | 251 |
| 54.54 | 1.683 | 228 |
| 59.54 | 1.553 | 214 |

[5]
Calculated powder diffraction line list of Tb2DyHo3 for a wavelength of 1.5418 Å, from a crystal structure in Alexandria, relaxed with GGA-PBE.
Peak positions follow from Bragg's law for the DFT cell and can differ from measured ones.

Structural model:
Cell: 17.310 7.065 6.105 Å, 90.00 90.14 90.00°
Space group C2/c (No. 15)
Inequivalent atoms, fractional coordinates:
1 Tb 0.167 0.125 0.417 x8
2 Dy 0.000 0.375 0.250 x4
3 Ho 0.000 0.125 0.750 x4
4 Ho 0.166 0.375 0.917 x8

Main lines, sorted by position (2θ = 10–80°):
| 2theta | d [Å] | Rel. int. |
| --- | --- | --- |
| 31.03 | 2.882 | 1000 |
| 35.94 | 2.499 | 338 |
| 36.05 | 2.491 | 168 |
| 51.77 | 1.766 | 240 |
| 51.85 | 1.763 | 120 |
| 61.57 | 1.506 | 285 |
| 61.71 | 1.503 | 142 |
| 64.67 | 1.441 | 92 |
| 64.71 | 1.440 | 31 |
| 76.21 | 1.249 | 38 |

[6]
Calculated powder diffraction line list of Ho2Zn3Cu12Pt for a wavelength of 1.5418 Å, from a crystal structure in Alexandria, relaxed with GGA-PBE.
Peak positions follow from Bragg's law for the DFT cell and can differ from measured ones.

Structural model:
Cell: 5.1562 5.1562 36.3351 Å, 90.00 90.00 120.00°
Space group R-3m (No. 166, hexagonal axes)
Inequivalent atoms, fractional coordinates:
1 Ho 0.0000 0.0000 0.1442 x6
2 Zn 0.0000 0.5000 0.0000 x9
3 Cu 0.0009 0.5005 0.8916 x18
4 Cu 0.0126 0.5063 0.6116 x18
5 Pt 0.0000 0.0000 0.5000 x3

Main lines, sorted by position (2θ = 10–80°):
| 2theta | d [Å] | Rel. int. |
| --- | --- | --- |
| 23.38 | 3.805 | 391 |
| 31.75 | 2.818 | 339 |
| 33.75 | 2.656 | 568 |
| 35.60 | 2.522 | 892 |
| 37.93 | 2.372 | 549 |
| 40.19 | 2.244 | 490 |
| 41.62 | 2.170 | 615 |
| 45.26 | 2.004 | 1000 |
| 47.82 | 1.902 | 346 |
| 73.46 | 1.289 | 379 |

[7]
Calculated powder diffraction line list of BaCe2Pa for a wavelength of 1.5418 Å, from a crystal structure in Alexandria, relaxed with GGA-PBE.
Peak positions follow from Bragg's law for the DFT cell and can differ from measured ones.

Structural model:
Cell: 3.9679 3.9679 31.2045 Å, 90.00 90.00 120.00°
Space group R-3m (No. 166, hexagonal axes)
Inequivalent atoms, fractional coordinates:
1 Ba 0.0000 0.0000 0.0000 x3
2 Ce 0.0000 0.0000 0.1173 x6
3 Pa 0.0000 0.0000 0.5000 x3

Main lines, sorted by position (2θ = 10–80°):
| 2theta | d [Å] | Rel. int. |
| --- | --- | --- |
| 17.05 | 5.201 | 383 |
| 26.56 | 3.356 | 784 |
| 29.68 | 3.010 | 442 |
| 34.79 | 2.578 | 1000 |
| 38.99 | 2.310 | 461 |
| 45.73 | 1.984 | 499 |
| 54.07 | 1.696 | 233 |
| 58.72 | 1.572 | 223 |
| 72.39 | 1.305 | 209 |
| 77.45 | 1.232 | 201 |

[8]
Calculated powder diffraction line list of Ce8Sb3Pb4 for a wavelength of 1.5418 Å, from a crystal structure in Alexandria, relaxed with GGA-PBE.
Peak positions follow from Bragg's law for the DFT cell and can differ from measured ones.

Structural model:
Cell: 12.766 12.774 8.981 Å, 90.00 134.65 90.00°
Space group C2/m (No. 12)
Inequivalent atoms, fractional coordinates:
1 Ce 0.000 0.248 0.000 x4
2 Ce 0.000 0.250 0.500 x4
3 Ce 0.248 0.000 0.999 x4
4 Ce 0.249 0.000 0.497 x4
5 Sb 0.000 0.000 0.000 x2
6 Sb 0.250 0.250 0.000 x4
7 Pb 0.000 0.000 0.500 x2
8 Pb 0.000 0.500 0.000 x2
9 Pb 0.250 0.250 0.500 x4

Main lines, sorted by position (2θ = 10–80°):
| 2theta | d [Å] | Rel. int. |
| --- | --- | --- |
| 27.94 | 3.193 | 1000 |
| 39.70 | 2.271 | 131 |
| 39.93 | 2.258 | 517 |
| 40.16 | 2.245 | 127 |
| 49.24 | 1.851 | 142 |
| 49.63 | 1.837 | 138 |
| 57.74 | 1.597 | 132 |
| 65.34 | 1.428 | 243 |
| 72.19 | 1.309 | 91 |
| 72.82 | 1.299 | 89 |

[9]
Calculated powder diffraction line list of Pm6PrNd12 for a wavelength of 1.5418 Å, from a crystal structure in Alexandria, relaxed with GGA-PBE.
Peak positions follow from Bragg's law for the DFT cell and can differ from measured ones.

Structural model:
Cell: 16.0116 16.0116 9.0149 Å, 90.00 90.00 120.00°
Space group R-3 (No. 148, hexagonal axes)
Inequivalent atoms, fractional coordinates:
1 Pm 0.0351 0.2808 0.3332 x18
2 Pr 0.0000 0.0000 0.0000 x3
3 Nd 0.0173 0.1406 0.6660 x18
4 Nd 0.0696 0.5613 0.6670 x18

Main lines, sorted by position (2θ = 10–80°):
| 2theta | d [Å] | Rel. int. |
| --- | --- | --- |
| 29.77 | 3.001 | 1000 |
| 34.51 | 2.599 | 507 |
| 49.60 | 1.838 | 364 |
| 58.93 | 1.567 | 434 |
| 61.74 | 1.502 | 31 |
| 61.86 | 1.500 | 94 |
| 72.77 | 1.300 | 58 |

[10]
Calculated powder diffraction line list of Cd5Hg2Sb for a wavelength of 1.5418 Å, from a crystal structure in Alexandria, relaxed with GGA-PBE.
Peak positions follow from Bragg's law for the DFT cell and can differ from measured ones.

Structural model:
Cell: 5.071 8.756 19.775 Å, 90.00 90.00 90.00°
Space group Cmcm (No. 63)
Inequivalent atoms, fractional coordinates:
1 Cd 0.000 0.078 0.110 x8
2 Cd 0.000 0.142 0.750 x4
3 Cd 0.000 0.411 0.068 x8
4 Hg 0.000 0.253 0.575 x8
5 Sb 0.000 0.197 0.250 x4

Main lines, sorted by position (2θ = 10–80°):
| 2theta | d [Å] | Rel. int. |
| --- | --- | --- |
| 20.27 | 4.380 | 153 |
| 22.16 | 4.011 | 198 |
| 24.37 | 3.653 | 153 |
| 27.05 | 3.296 | 621 |
| 35.40 | 2.535 | 435 |
| 38.11 | 2.362 | 1000 |
| 41.95 | 2.154 | 193 |
| 45.12 | 2.009 | 336 |
| 55.39 | 1.659 | 161 |
| 65.35 | 1.428 | 206 |